Entry 1:
Diffraction record for Ho2Er2Mg5. The X-ray diffraction stick pattern is simulated, not measured: it uses a structure optimized by DFT (GGA-PBE) and Cu Kα, 1.54184 Å.

Top 12 peaks for 10° ≤ 2θ ≤ 80°, in order of rising 2θ:
2θ = 15.78°, rel. 77
2θ = 28.33°, rel. 21
2θ = 30.38°, rel. 100
2θ = 31.88°, rel. 32
2θ = 32.59°, rel. 51
2θ = 38.07°, rel. 56
2θ = 43.16°, rel. 14
2θ = 50.47°, rel. 23
2θ = 51.45°, rel. 21
2θ = 56.78°, rel. 15
2θ = 63.21°, rel. 12
2θ = 66.62°, rel. 13

Structure:
a = 9.486 Å, b = 9.486 Å, c = 9.486 Å
α = 85.48°, β = 107.42°, γ = 141.20°
Positions (direct):
Ho 0.000 0.000 0.000
Ho 0.000 0.500 0.500
Ho 0.048 0.809 0.739
Ho 0.070 0.309 0.261
Er 0.524 0.150 0.620
Er 0.524 0.404 0.873
Er 0.531 0.650 0.127
Er 0.531 0.904 0.380
Mg 0.050 0.163 0.597
Mg 0.050 0.953 0.387
Mg 0.171 0.657 0.014
Mg 0.468 0.161 0.188
Mg 0.468 0.780 0.807
Mg 0.566 0.453 0.403
Mg 0.566 0.663 0.613
Mg 0.643 0.157 0.986
Mg 0.974 0.280 0.812
Mg 0.974 0.661 0.193



Entry 2:
Diffraction record for Ho2ErZn3. The X-ray diffraction stick pattern is simulated, not measured: it uses a structure optimized by DFT (GGA-PBE) and Cu Kα, 1.54184 Å.

Top 7 peaks for 10° ≤ 2θ ≤ 80°, in order of rising 2θ:
2θ = 25.09°, rel. 19
2θ = 35.78°, rel. 100
2θ = 44.20°, rel. 6
2θ = 51.50°, rel. 18
2θ = 58.12°, rel. 8
2θ = 64.29°, rel. 36
2θ = 75.81°, rel. 11

Structure:
a = 5.017 Å, b = 5.017 Å, c = 6.153 Å
α = 90.00°, β = 90.00°, γ = 120.00°
Positions (direct):
Ho 0.333 0.667 0.168
Ho 0.667 0.333 0.832
Er 0.000 0.000 0.500
Zn 0.000 0.000 0.000
Zn 0.333 0.667 0.667
Zn 0.667 0.333 0.333



Entry 3:
Diffraction record for Cs3Ce3TaS8. The X-ray diffraction stick pattern is simulated, not measured: it uses a structure optimized by DFT (GGA-PBE) and Cu Kα, 1.54184 Å.

Top 12 peaks for 10° ≤ 2θ ≤ 80°, in order of rising 2θ:
2θ = 10.72°, rel. 26
2θ = 13.10°, rel. 18
2θ = 21.53°, rel. 33
2θ = 26.38°, rel. 48
2θ = 29.23°, rel. 100
2θ = 38.78°, rel. 37
2θ = 44.72°, rel. 52
2θ = 50.12°, rel. 22
2θ = 54.30°, rel. 16
2θ = 58.42°, rel. 12
2θ = 64.42°, rel. 13
2θ = 72.87°, rel. 13

Structure:
a = 9.490 Å, b = 9.490 Å, c = 9.490 Å
α = 50.60°, β = 50.60°, γ = 50.60°
Positions (direct):
Cs 0.000 0.500 0.500
Cs 0.500 0.000 0.500
Cs 0.500 0.500 0.000
Ce 0.000 0.000 0.500
Ce 0.000 0.500 0.000
Ce 0.500 0.000 0.000
Ta 0.500 0.500 0.500
S 0.230 0.230 0.230
S 0.255 0.709 0.709
S 0.291 0.291 0.745
S 0.291 0.745 0.291
S 0.709 0.255 0.709
S 0.709 0.709 0.255
S 0.745 0.291 0.291
S 0.770 0.770 0.770